[1]
SrCaTbBiO6: simulated PXRD pattern (Cu Kα (weighted mean of Kα1 and Kα2)), based on a DFT-relaxed cell (GGA-PBE, Alexandria).

Principal peaks in the range 2θ = 10–90°, low angle first:
index, two_theta, intensity
1 -1 0, 21.10, 54
0 2 0, 29.54, 24
1 1 2, 30.01, 100
2 0 0, 30.50, 23
0 0 4, 42.93, 25
2 -2 2, 48.32, 17
1 3 2, 52.71, 19
3 -1 2, 53.88, 18

Atomic structure:
a = 5.861 Å, b = 6.048 Å, c = 8.425 Å
α = 90.01°, β = 90.12°, γ = 90.14°
Space group P-1 (No. 2)
One atom of each set of equivalent atoms:
Sr 0.011 0.449 0.251 [2 per cell]
Ca 0.486 0.952 0.249 [2 per cell]
Tb 0.000 0.000 0.500 [1 per cell]
Tb 0.500 0.500 0.000 [1 per cell]
Bi 0.000 0.000 0.000 [1 per cell]
Bi 0.500 0.500 0.500 [1 per cell]
O 0.120 0.966 0.759 [2 per cell]
O 0.191 0.709 0.055 [2 per cell]
O 0.204 0.694 0.453 [2 per cell]
O 0.295 0.192 0.063 [2 per cell]
O 0.314 0.204 0.434 [2 per cell]
O 0.402 0.438 0.742 [2 per cell]



[2]
MoHRh2: simulated PXRD pattern (Cu Kα (weighted mean of Kα1 and Kα2)), based on a DFT-relaxed cell (GGA-PBE, Alexandria).

Principal peaks in the range 2θ = 10–90°, low angle first:
index, two_theta, intensity
2 0 0, 36.95, 24
0 2 0, 40.33, 25
1 1 3, 42.28, 100
2 2 0, 55.84, 15
3 0 3, 66.60, 11
1 3 3, 74.66, 18
3 2 3, 80.83, 13
2 1 6, 82.02, 8

Atomic structure:
a = 4.861 Å, b = 4.473 Å, c = 8.442 Å
α = 90.00°, β = 90.00°, γ = 90.00°
Space group Pnna (No. 52)
One atom of each set of equivalent atoms:
Mo 0.066 0.250 0.250 [4 per cell]
H 0.250 0.000 0.082 [4 per cell]
Rh 0.081 0.245 0.586 [8 per cell]



[3]
Na12LiSn7: simulated PXRD pattern (Cu Kα (weighted mean of Kα1 and Kα2)), based on a DFT-relaxed cell (GGA-PBE, Alexandria).

Principal peaks in the range 2θ = 10–90°, low angle first:
index, two_theta, intensity
0 1 2, 17.06, 100
0 2 1, 17.35, 65
3 -1 1, 22.05, 97
1 0 4, 31.60, 53
3 1 2, 32.27, 52
4 0 1, 32.44, 61
0 4 2, 35.12, 87
4 1 0, 36.23, 68

Atomic structure:
a = 13.1201 Å, b = 13.1201 Å, c = 11.6933 Å
α = 90.00°, β = 90.00°, γ = 120.00°
Space group R-3 (No. 148, hexagonal axes)
One atom of each set of equivalent atoms:
Na 0.0495 0.5733 0.1353 [18 per cell]
Na 0.0911 0.9042 0.7471 [18 per cell]
Li 0.0000 0.0000 0.0000 [3 per cell]
Sn 0.0000 0.0000 0.5000 [3 per cell]
Sn 0.0158 0.7812 0.0145 [18 per cell]



[4]
DyScTlGa: simulated PXRD pattern (Cu Kα (weighted mean of Kα1 and Kα2)), based on a DFT-relaxed cell (GGA-PBE, Alexandria).

Principal peaks in the range 2θ = 10–90°, low angle first:
index, two_theta, intensity
0 0 1, 11.80, 24
1 0 1, 28.07, 35
1 0 2, 35.02, 100
1 1 0, 36.19, 48
1 1 3, 51.92, 11
2 0 0, 52.11, 17
1 1 4, 62.04, 16
2 1 2, 64.33, 34

Atomic structure:
a = 3.510 Å, b = 3.510 Å, c = 7.498 Å
α = 90.00°, β = 90.00°, γ = 90.00°
Space group P4mm (No. 99)
One atom of each set of equivalent atoms:
Dy 0.000 0.000 0.000 [1 per cell]
Sc 0.000 0.000 0.538 [1 per cell]
Tl 0.500 0.500 0.286 [1 per cell]
Ga 0.500 0.500 0.754 [1 per cell]



[5]
Ac2Pm2Er3: simulated PXRD pattern (Cu Kα (weighted mean of Kα1 and Kα2)), based on a DFT-relaxed cell (GGA-PBE, Alexandria).

Principal peaks in the range 2θ = 10–90°, low angle first:
index, two_theta, intensity
0 1 0, 24.34, 53
1 0 3, 27.99, 100
2 0 -1, 28.60, 45
2 0 2, 31.97, 50
1 1 -2, 32.47, 95
0 1 3, 34.70, 34
2 1 1, 37.88, 56
4 0 0, 56.52, 56

Atomic structure:
a = 6.512 Å, b = 3.660 Å, c = 10.959 Å
α = 90.00°, β = 90.04°, γ = 90.00°
Space group P2/m (No. 10)
One atom of each set of equivalent atoms:
Ac 0.000 0.000 0.187 [2 per cell]
Pm 0.500 0.500 0.273 [2 per cell]
Er 0.249 0.000 0.500 [2 per cell]
Er 0.500 0.000 0.000 [1 per cell]



[6]
LiTi2Zn2P2O10: simulated PXRD pattern (Cu Kα (weighted mean of Kα1 and Kα2)), based on a DFT-relaxed cell (GGA-PBE, Alexandria).

Principal peaks in the range 2θ = 10–90°, low angle first:
index, two_theta, intensity
0 1 -1, 17.53, 19
1 1 -1, 23.41, 27
1 1 0, 26.42, 83
1 0 -2, 26.82, 100
0 0 2, 27.86, 19
2 -1 0, 34.83, 36
2 1 -2, 38.25, 21
1 1 -4, 50.50, 21

Atomic structure:
a = 5.652 Å, b = 5.680 Å, c = 7.233 Å
α = 107.93°, β = 108.44°, γ = 95.52°
Space group P1 (No. 1)
One atom of each set of equivalent atoms:
Li 0.000 0.000 0.000 [1 per cell]
Ti 0.836 0.628 0.625 [1 per cell]
Ti 0.846 0.625 0.166 [1 per cell]
Zn 0.260 0.497 0.928 [1 per cell]
Zn 0.534 0.983 0.456 [1 per cell]
P 0.199 0.277 0.411 [1 per cell]
P 0.457 0.002 0.888 [1 per cell]
O 0.087 0.362 0.224 [1 per cell]
O 0.096 0.383 0.587 [1 per cell]
O 0.143 0.979 0.321 [1 per cell]
O 0.164 0.941 0.778 [1 per cell]
O 0.499 0.341 0.504 [1 per cell]
O 0.526 0.300 0.003 [1 per cell]
O 0.534 0.855 0.041 [1 per cell]
O 0.614 0.937 0.743 [1 per cell]
O 0.713 0.734 0.387 [1 per cell]
O 0.944 0.607 0.918 [1 per cell]



[7]
Y5Hg2Bi: simulated PXRD pattern (Cu Kα (weighted mean of Kα1 and Kα2)), based on a DFT-relaxed cell (GGA-PBE, Alexandria).

Principal peaks in the range 2θ = 10–90°, low angle first:
index, two_theta, intensity
1 1 2, 20.21, 26
2 1 3, 31.47, 100
3 1 0, 34.09, 67
2 1 5, 41.92, 16
3 1 4, 43.99, 16
3 3 6, 63.55, 16
5 2 3, 63.86, 20
3 1 8, 66.85, 14

Atomic structure:
a = 8.318 Å, b = 8.318 Å, c = 13.222 Å
α = 90.00°, β = 90.00°, γ = 90.00°
Space group I4/mcm (No. 140)
One atom of each set of equivalent atoms:
Y 0.000 0.000 0.000 [4 per cell]
Y 0.153 0.347 0.146 [16 per cell]
Hg 0.141 0.359 0.500 [8 per cell]
Bi 0.000 0.000 0.250 [4 per cell]



[8]
CeFe2Cl8: simulated PXRD pattern (Cu Kα (weighted mean of Kα1 and Kα2)), based on a DFT-relaxed cell (GGA-PBE, Alexandria).

Principal peaks in the range 2θ = 10–90°, low angle first:
index, two_theta, intensity
1 1 0, 14.13, 100
1 1 -1, 14.91, 9
0 2 0, 16.01, 42
1 3 -2, 31.03, 12
2 2 -3, 35.33, 9
1 1 3, 35.93, 10
3 1 -3, 39.25, 12
1 3 3, 42.93, 14

Atomic structure:
a = 8.013 Å, b = 11.073 Å, c = 9.641 Å
α = 90.00°, β = 108.34°, γ = 90.00°
Space group C2/m (No. 12)
One atom of each set of equivalent atoms:
Ce 0.000 0.000 0.000 [2 per cell]
Fe 0.012 0.000 0.331 [4 per cell]
Cl 0.102 0.161 0.826 [8 per cell]
Cl 0.218 0.000 0.561 [4 per cell]
Cl 0.222 0.500 0.763 [4 per cell]



[9]
CsZnSbTeHO: simulated PXRD pattern (Cu Kα (weighted mean of Kα1 and Kα2)), based on a DFT-relaxed cell (GGA-PBE, Alexandria).

Principal peaks in the range 2θ = 10–90°, low angle first:
index, two_theta, intensity
0 1 0, 16.02, 94
1 1 1, 25.42, 64
1 -1 1, 25.95, 60
-1 1 1, 28.76, 61
1 1 -1, 29.41, 56
1 0 2, 30.41, 76
0 2 0, 32.36, 100
2 0 0, 34.21, 60

Atomic structure:
a = 5.337 Å, b = 5.537 Å, c = 6.371 Å
α = 88.03°, β = 79.17°, γ = 89.88°
Space group P1 (No. 1)
One atom of each set of equivalent atoms:
Cs 0.000 0.000 0.000 [1 per cell]
Zn 0.524 0.497 0.216 [1 per cell]
Sb 0.065 0.501 0.493 [1 per cell]
Te 0.518 0.502 0.811 [1 per cell]
H 0.090 0.819 0.501 [1 per cell]
O 0.866 0.500 0.256 [1 per cell]



[10]
Ca3Ho: simulated PXRD pattern (Cu Kα (weighted mean of Kα1 and Kα2)), based on a DFT-relaxed cell (GGA-PBE, Alexandria).

Principal peaks in the range 2θ = 10–90°, low angle first:
index, two_theta, intensity
0 2 0, 14.19, 33
0 1 1, 15.21, 58
1 0 1, 27.46, 33
0 4 0, 28.60, 39
0 2 2, 30.71, 52
1 2 1, 31.04, 100
1 4 1, 40.06, 24
1 6 1, 52.21, 22

Atomic structure:
a = 3.734 Å, b = 12.485 Å, c = 6.583 Å
α = 90.00°, β = 90.00°, γ = 90.00°
Space group Imm2 (No. 44)
One atom of each set of equivalent atoms:
Ca 0.000 0.000 0.000 [2 per cell]
Ca 0.000 0.245 0.668 [4 per cell]
Ho 0.000 0.500 0.000 [2 per cell]



[11]
Ac6Pt4Rh: simulated PXRD pattern (Cu Kα (weighted mean of Kα1 and Kα2)), based on a DFT-relaxed cell (GGA-PBE, Alexandria).

Principal peaks in the range 2θ = 10–90°, low angle first:
index, two_theta, intensity
0 2 6, 27.06, 90
1 3 1, 28.02, 50
1 3 2, 28.89, 100
1 3 3, 30.29, 78
1 5 4, 40.90, 44
2 0 0, 41.85, 44
0 6 5, 42.66, 58
2 2 6, 50.56, 45

Atomic structure:
a = 4.317 Å, b = 14.478 Å, c = 22.202 Å
α = 90.00°, β = 90.00°, γ = 90.00°
Space group Cmcm (No. 63)
One atom of each set of equivalent atoms:
Ac 0.000 0.000 0.000 [4 per cell]
Ac 0.000 0.199 0.250 [4 per cell]
Ac 0.000 0.274 0.586 [8 per cell]
Ac 0.000 0.451 0.164 [8 per cell]
Pt 0.000 0.092 0.130 [8 per cell]
Pt 0.000 0.362 0.042 [8 per cell]
Rh 0.000 0.155 0.750 [4 per cell]



[12]
LiFe3Ni3: simulated PXRD pattern (Cu Kα (weighted mean of Kα1 and Kα2)), based on a DFT-relaxed cell (GGA-PBE, Alexandria).

Principal peaks in the range 2θ = 10–90°, low angle first:
index, two_theta, intensity
0 2 0, 21.65, 16
1 3 0, 34.60, 13
1 1 2, 38.54, 13
0 4 0, 44.13, 23
4 0 0, 44.66, 34
2 2 2, 47.53, 100
4 4 0, 64.59, 13
6 2 2, 84.38, 16

Atomic structure:
a = 8.117 Å, b = 8.208 Å, c = 5.110 Å
α = 90.00°, β = 90.00°, γ = 90.00°
Space group Cmmm (No. 65)
One atom of each set of equivalent atoms:
Li 0.193 0.000 0.000 [4 per cell]
Fe 0.000 0.175 0.500 [4 per cell]
Fe 0.000 0.258 0.000 [4 per cell]
Fe 0.243 0.000 0.500 [4 per cell]
Ni 0.000 0.500 0.254 [4 per cell]
Ni 0.250 0.250 0.251 [8 per cell]